The following is a simulated X-ray diffraction stick pattern of Ag4AsSe3. It was derived from a structure optimized by DFT (GGA-PBE), using a wavelength of 1.5418 Å.
Kinematic intensities with the Lorentz-polarization factor, no thermal factor.

Atomic structure:
Unit cell a=13.2612 b=6.8703 c=8.6752 alpha=90.00 beta=99.48 gamma=90.00
Space group Cc (No. 9)
Unique sites:
Ag  0.0000  0.1164  0.0000 [4 per cell]
Ag  0.1062  0.1551  0.3144 [4 per cell]
Ag  0.1111  0.2984  0.7618 [4 per cell]
Ag  0.2448  0.3399  0.1096 [4 per cell]
As  0.4037  0.1979  0.7131 [4 per cell]
Se  0.0160  0.4731  0.4263 [4 per cell]
Se  0.1946  0.0349  0.6017 [4 per cell]
Se  0.3291  0.4548  0.8556 [4 per cell]

Most intense lines, 5° ≤ 2θ ≤ 70°, low angle first:
two_theta	Rel. int.	index
13.54	561	2 0 0
27.68	529	3 1 1
30.43	1000	2 2 -1
37.26	823	4 0 2
38.20	382	4 2 -1
41.13	464	0 2 3
42.23	402	2 0 -4
46.02	668	1 3 2

The following is a simulated X-ray diffraction stick pattern of Ag4AsSe. It was derived from a structure optimized by DFT (GGA-PBE), using a wavelength of 1.5418 Å.
Kinematic intensities with the Lorentz-polarization factor, no thermal factor.

Atomic structure:
Unit cell a=7.8186 b=7.8186 c=7.8186 alpha=90.00 beta=90.00 gamma=90.00
Space group F-43m (No. 216)
Unique sites:
Ag  0.1246  0.1246  0.1246 [16 per cell]
As  0.2500  0.2500  0.7500 [4 per cell]
Se  0.0000  0.0000  0.5000 [4 per cell]

Most intense lines, 5° ≤ 2θ ≤ 70°, low angle first:
two_theta	Rel. int.	index
19.67	208	1 1 1
32.39	172	2 2 0
38.18	1000	3 1 1
39.94	524	2 2 2
46.46	105	4 0 0
57.77	64	4 2 2
61.64	310	5 1 1
67.80	281	4 4 0

The following is a simulated X-ray diffraction stick pattern of Ag2AsSe5. It was derived from a structure optimized by DFT (GGA-PBE), using a wavelength of 1.5418 Å.
Kinematic intensities with the Lorentz-polarization factor, no thermal factor.

Atomic structure:
Unit cell a=5.6383 b=6.4775 c=7.5274 alpha=66.51 beta=72.75 gamma=84.06
Space group P1 (No. 1)
Unique sites:
Ag  0.0000  0.0000  0.0000 [1 per cell]
Ag  0.4653  0.4878  0.3794 [1 per cell]
As  0.5336  0.5320  0.9452 [1 per cell]
Se  0.0626  0.2453  0.6202 [1 per cell]
Se  0.2130  0.8860  0.2890 [1 per cell]
Se  0.5501  0.1404  0.1896 [1 per cell]
Se  0.7472  0.5129  0.6064 [1 per cell]
Se  0.8716  0.5761  0.0568 [1 per cell]

Most intense lines, 5° ≤ 2θ ≤ 70°, low angle first:
two_theta	Rel. int.	index
13.36	820	0 0 1
15.71	769	0 1 1
18.09	870	1 0 1
22.10	994	1 -1 0
22.47	843	1 1 0
25.24	946	0 1 2
34.13	1000	-1 2 1
40.87	849	2 2 2

The following is a simulated X-ray diffraction stick pattern of Ag2AsSe4. It was derived from a structure optimized by DFT (GGA-PBE), using a wavelength of 1.5418 Å.
Kinematic intensities with the Lorentz-polarization factor, no thermal factor.

Atomic structure:
Unit cell a=7.3589 b=7.0885 c=7.7114 alpha=90.00 beta=113.93 gamma=90.00
Space group P2_1/m (No. 11)
Unique sites:
Ag  0.0463  0.2500  0.1786 [2 per cell]
Ag  0.4347  0.7500  0.8828 [2 per cell]
As  0.3875  0.7500  0.3106 [2 per cell]
Se  0.1631  0.2500  0.5512 [2 per cell]
Se  0.1792  0.7500  0.5150 [2 per cell]
Se  0.2698  0.5062  0.0742 [4 per cell]

Most intense lines, 5° ≤ 2θ ≤ 70°, low angle first:
two_theta	Rel. int.	index
21.65	294	1 0 1
25.12	594	0 2 0
28.25	1000	0 1 2
29.40	413	2 1 0
31.03	385	2 1 -2
35.21	565	2 2 -1
43.55	514	1 2 -3
51.57	297	0 4 0

The following is a simulated X-ray diffraction stick pattern of AgAsSe3. It was derived from a structure optimized by DFT (GGA-PBE), using a wavelength of 1.5418 Å.
Kinematic intensities with the Lorentz-polarization factor, no thermal factor.

Atomic structure:
Unit cell a=16.5591 b=3.7610 c=8.1059 alpha=90.00 beta=91.56 gamma=90.00
Space group C2/m (No. 12)
Unique sites:
Ag  0.1726  0.0000  0.1605 [4 per cell]
As  0.0702  0.5000  0.6680 [4 per cell]
Se  0.0169  0.0000  0.2366 [4 per cell]
Se  0.1686  0.5000  0.8966 [4 per cell]
Se  0.2366  0.0000  0.6063 [4 per cell]

Most intense lines, 5° ≤ 2θ ≤ 70°, low angle first:
two_theta	Rel. int.	index
24.73	487	2 0 2
26.62	485	1 1 -1
30.65	401	3 1 -1
33.04	1000	1 1 2
36.15	529	5 1 0
42.27	378	5 1 -2
46.44	810	2 0 4
48.40	389	0 2 0

The following is a simulated X-ray diffraction stick pattern of Ag2AsSe3. It was derived from a structure optimized by DFT (GGA-PBE), using a wavelength of 1.5418 Å.
Kinematic intensities with the Lorentz-polarization factor, no thermal factor.

Atomic structure:
Unit cell a=4.5752 b=12.2246 c=5.7856 alpha=90.00 beta=90.00 gamma=90.00
Space group Imm2 (No. 44)
Unique sites:
Ag  0.0000  0.1587  0.0000 [4 per cell]
As  0.0000  0.5000  0.9797 [2 per cell]
Se  0.0000  0.0000  0.6792 [2 per cell]
Se  0.0000  0.3409  0.7372 [4 per cell]

Most intense lines, 5° ≤ 2θ ≤ 70°, low angle first:
two_theta	Rel. int.	index
24.81	884	1 0 1
26.76	1000	0 3 1
39.39	306	2 0 0
43.15	849	1 3 2
44.47	202	0 6 0
48.26	384	2 3 1
51.42	180	1 0 3
51.58	214	1 6 1